Record 1
For Co2Pt3Rh7, a crystal structure in Alexandria, relaxed with PBE gives the calculated powder XRD pattern in this record (copper Kα).
Intensities are scaled so that the largest is 100.

```
data_Co2Pt3Rh7
_symmetry_space_group_name_H-M 'P m m 2'
_symmetry_Int_Tables_number 25
_symmetry_space_group_name_Hall 'P 2 -2'
_cell_length_a 2.7019
_cell_length_b 4.2582
_cell_length_c 15.0036
_cell_angle_alpha 90.00
_cell_angle_beta 90.00
_cell_angle_gamma 90.00
loop_
_atom_site_label
_atom_site_type_symbol
_atom_site_fract_x
_atom_site_fract_y
_atom_site_fract_z
Co1 Co 0.0000 0.0000 0.0000
Co2 Co 0.0000 0.5000 0.4161
Pt1 Pt 0.0000 0.0000 0.6755
Pt2 Pt 0.5000 0.0000 0.3394
Pt3 Pt 0.5000 0.5000 0.0716
Rh1 Rh 0.0000 0.0000 0.1621
Rh2 Rh 0.0000 0.0000 0.5003
Rh3 Rh 0.0000 0.5000 0.2527
Rh4 Rh 0.0000 0.5000 0.9077
Rh5 Rh 0.5000 0.0000 0.8505
Rh6 Rh 0.5000 0.5000 0.5722
Rh7 Rh 0.5000 0.5000 0.7501
```

Most intense lines, 2θ = 5–70°, by angle:
Position (°2θ), I/Imax
21.7, 14
40.0, 11
41.2, 47
41.4, 98
41.9, 100
42.5, 53
43.6, 15
60.1, 13
60.6, 30
69.6, 12


Record 2
For CoPt5Rh2, a crystal structure in Alexandria, relaxed with PBE gives the calculated powder XRD pattern in this record (copper Kα).
Intensities are scaled so that the largest is 100.

```
data_CoPt5Rh2
_symmetry_space_group_name_H-M 'F m m m'
_symmetry_Int_Tables_number 69
_symmetry_space_group_name_Hall '-F 2 2'
_cell_length_a 5.5012
_cell_length_b 7.8085
_cell_length_c 11.0536
_cell_angle_alpha 90.00
_cell_angle_beta 90.00
_cell_angle_gamma 90.00
loop_
_atom_site_label
_atom_site_type_symbol
_atom_site_fract_x
_atom_site_fract_y
_atom_site_fract_z
Co1 Co 0.0000 0.0000 0.0000
Pt1 Pt 0.0000 0.0000 0.5000
Pt2 Pt 0.2500 0.2500 0.1245
Rh1 Rh 0.0000 0.0000 0.2483
```

Most intense lines, 2θ = 5–70°, by angle:
Position (°2θ), I/Imax
21.3, 10
22.8, 12
32.4, 5
40.0, 100
40.1, 99
46.6, 97
52.5, 6
67.8, 11
68.0, 42
68.2, 10


Record 3
For CoPtRh6, a crystal structure in Alexandria, relaxed with PBE gives the calculated powder XRD pattern in this record (copper Kα).
Intensities are scaled so that the largest is 100.

```
data_CoPtRh6
_symmetry_space_group_name_H-M 'C 1 2/m 1'
_symmetry_Int_Tables_number 12
_symmetry_space_group_name_Hall '-C 2y'
_cell_length_a 8.5565
_cell_length_b 3.8282
_cell_length_c 7.6656
_cell_angle_alpha 90.00
_cell_angle_beta 116.55
_cell_angle_gamma 90.00
loop_
_atom_site_label
_atom_site_type_symbol
_atom_site_fract_x
_atom_site_fract_y
_atom_site_fract_z
Co1 Co 0.0000 0.0000 0.0000
Pt1 Pt 0.0000 0.0000 0.5000
Rh1 Rh 0.0006 0.5000 0.2446
Rh2 Rh 0.2459 0.0000 0.3673
Rh3 Rh 0.2469 0.5000 0.1190
```

Most intense lines, 2θ = 5–70°, by angle:
Position (°2θ), I/Imax
12.9, 6
20.9, 2
26.7, 3
31.5, 5
35.6, 1
39.5, 2
40.8, 100
43.0, 2
47.5, 48
69.4, 30


Record 4
For Co15Pt2Rh2, a crystal structure in Alexandria, relaxed with PBE gives the calculated powder XRD pattern in this record (copper Kα).
Intensities are scaled so that the largest is 100.

```
data_Co15Pt2Rh2
_symmetry_space_group_name_H-M 'R -3 m'
_symmetry_Int_Tables_number 166
_symmetry_space_group_name_Hall '-R 3 2"'
_cell_length_a 8.2114
_cell_length_b 8.2114
_cell_length_c 12.0818
_cell_angle_alpha 90.00
_cell_angle_beta 90.00
_cell_angle_gamma 120.00
loop_
_atom_site_label
_atom_site_type_symbol
_atom_site_fract_x
_atom_site_fract_y
_atom_site_fract_z
Co1 Co 0.0000 0.3053 0.0000
Co2 Co 0.0000 0.5000 0.5000
Co3 Co 0.0138 0.5069 0.1503
Pt1 Pt 0.0000 0.0000 0.1083
Rh1 Rh 0.0000 0.0000 0.3488
```

Most intense lines, 2θ = 5–70°, by angle:
Position (°2θ), I/Imax
14.5, 56
21.6, 34
32.2, 46
38.0, 90
39.1, 72
44.1, 100
44.3, 61
45.2, 57
45.4, 38
49.9, 64


Record 5
For CoPt5Rh6, a crystal structure in Alexandria, relaxed with PBE gives the calculated powder XRD pattern in this record (copper Kα).
Intensities are scaled so that the largest is 100.

```
data_CoPt5Rh6
_symmetry_space_group_name_H-M 'I m m m'
_symmetry_Int_Tables_number 71
_symmetry_space_group_name_Hall '-I 2 2'
_cell_length_a 3.8769
_cell_length_b 7.7613
_cell_length_c 11.6403
_cell_angle_alpha 90.00
_cell_angle_beta 90.00
_cell_angle_gamma 90.00
loop_
_atom_site_label
_atom_site_type_symbol
_atom_site_fract_x
_atom_site_fract_y
_atom_site_fract_z
Co1 Co 0.0000 0.0000 0.0000
Pt1 Pt 0.0000 0.0000 0.3359
Pt2 Pt 0.0000 0.5000 0.0000
Pt3 Pt 0.0000 0.5000 0.3371
Rh1 Rh 0.0000 0.2457 0.1651
Rh2 Rh 0.0000 0.2584 0.5000
```

Most intense lines, 2θ = 5–70°, by angle:
Position (°2θ), I/Imax
13.7, 3
22.9, 6
25.7, 2
30.0, 2
32.7, 5
40.3, 100
46.8, 49
52.8, 3
58.2, 2
68.4, 31


Record 6
For Co2Pt5Rh5, a crystal structure in Alexandria, relaxed with PBE gives the calculated powder XRD pattern in this record (copper Kα).
Intensities are scaled so that the largest is 100.

```
data_Co2Pt5Rh5
_symmetry_space_group_name_H-M 'C 1 2/m 1'
_symmetry_Int_Tables_number 12
_symmetry_space_group_name_Hall '-C 2y'
_cell_length_a 11.5836
_cell_length_b 3.8552
_cell_length_c 8.6337
_cell_angle_alpha 90.00
_cell_angle_beta 116.39
_cell_angle_gamma 90.00
loop_
_atom_site_label
_atom_site_type_symbol
_atom_site_fract_x
_atom_site_fract_y
_atom_site_fract_z
Co1 Co 0.0846 0.0000 0.2502
Pt1 Pt 0.0000 0.5000 0.0000
Pt2 Pt 0.0807 0.5000 0.7518
Pt3 Pt 0.1668 0.5000 0.4994
Rh1 Rh 0.0000 0.0000 0.5000
Rh2 Rh 0.1669 0.0000 0.0020
Rh3 Rh 0.2443 0.5000 0.2464
```

Most intense lines, 2θ = 5–70°, by angle:
Position (°2θ), I/Imax
24.6, 16
31.1, 3
36.6, 2
40.5, 100
41.3, 2
47.0, 32
47.1, 16
61.1, 2
68.6, 5
68.8, 26


Record 7
For CoRuPt14, a crystal structure in Alexandria, relaxed with PBE gives the calculated powder XRD pattern in this record (copper Kα).
Intensities are scaled so that the largest is 100.

```
data_CoRuPt14
_symmetry_space_group_name_H-M 'A m m 2'
_symmetry_Int_Tables_number 38
_symmetry_space_group_name_Hall 'A 2 -2'
_cell_length_a 9.1831
_cell_length_b 5.5684
_cell_length_c 9.6263
_cell_angle_alpha 90.00
_cell_angle_beta 90.00
_cell_angle_gamma 90.00
loop_
_atom_site_label
_atom_site_type_symbol
_atom_site_fract_x
_atom_site_fract_y
_atom_site_fract_z
Co1 Co 0.0000 0.0000 0.0000
Ru1 Ru 0.0000 0.0000 0.4992
Pt1 Pt 0.0000 0.2497 0.2522
Pt2 Pt 0.2401 0.2491 0.0816
Pt3 Pt 0.2455 0.0000 0.8349
Pt4 Pt 0.2466 0.0000 0.3348
Pt5 Pt 0.5000 0.0000 0.1654
Pt6 Pt 0.5000 0.0000 0.6653
Pt7 Pt 0.5000 0.2504 0.4159
```

Most intense lines, 2θ = 5–70°, by angle:
Position (°2θ), I/Imax
9.6, 2
37.3, 12
38.6, 36
39.2, 34
42.4, 100
48.1, 19
55.3, 7
63.7, 9
67.3, 7
67.4, 14


Record 8
For CoPt2S6, a crystal structure in Alexandria, relaxed with PBE gives the calculated powder XRD pattern in this record (copper Kα).
Intensities are scaled so that the largest is 100.

```
data_CoPt2S6
_symmetry_space_group_name_H-M 'P 42/m n m'
_symmetry_Int_Tables_number 136
_symmetry_space_group_name_Hall '-P 4n 2n'
_cell_length_a 5.3852
_cell_length_b 5.3852
_cell_length_c 11.1288
_cell_angle_alpha 90.00
_cell_angle_beta 90.00
_cell_angle_gamma 90.00
loop_
_atom_site_label
_atom_site_type_symbol
_atom_site_fract_x
_atom_site_fract_y
_atom_site_fract_z
Co1 Co 0.0000 0.0000 0.0000
Pt1 Pt 0.0000 0.0000 0.3334
S1 S 0.1867 0.1867 0.1594
S2 S 0.2002 0.2002 0.5000
```

Most intense lines, 2θ = 5–70°, by angle:
Position (°2θ), I/Imax
18.3, 22
23.4, 100
29.2, 71
33.3, 16
44.9, 78
47.8, 20
49.1, 12
53.8, 14
55.1, 19
57.0, 29